Starting from a crystal structure in OQMD, relaxed with GGA-PBE, the powder diffractogram of YHoB2Ir2O2 was computed for CuKα.
Lines closer than 0.1° are merged.

Main lines, in order of rising 2θ (2θ from 10° to 90°):
| 2θ (°) | Rel. int. | index |
| --- | --- | --- |
| 12.28 | 93 | 0 0 1 |
| 26.38 | 33 | 1 0 1 |
| 35.45 | 100 | 1 1 1 |
| 37.43 | 35 | 0 0 3 |
| 41.76 | 83 | 1 1 2 |
| 47.55 | 41 | 2 0 0 |
| 62.03 | 32 | 2 0 3 |
| 74.60 | 17 | 1 1 5 |
| 80.53 | 19 | 3 1 1 |
| 84.50 | 23 | 3 1 2 |

```
data_YHoB2Ir2O2
_chemical_formula_sum 'Y1 Ho1 B2 Ir2 O2'
_cell_length_a 3.825
_cell_length_b 3.825
_cell_length_c 7.208
_cell_angle_alpha 90.00
_cell_angle_beta 90.00
_cell_angle_gamma 90.00
_space_group_name_H-M_alt 'P 4 m m'
_space_group_IT_number 99
loop_
_space_group_symop_operation_xyz
'x,y,z'
'-y,x,z'
'-x,-y,z'
'y,-x,z'
'-x,y,z'
'y,x,z'
'x,-y,z'
'-y,-x,z'
loop_
_atom_site_label
_atom_site_type_symbol
_atom_site_fract_x
_atom_site_fract_y
_atom_site_fract_z
Y1 Y 0.000 0.000 0.000
Ho1 Ho 0.500 0.500 0.371
B1 B 0.000 0.000 0.529
B2 B 0.500 0.500 0.840
Ir1 Ir 0.000 0.500 0.684
O1 O 0.000 0.000 0.318
O2 O 0.500 0.500 0.052
```